[1]
Mn2O3F: calculated powder X-ray diffraction pattern (Cu Kα (weighted mean of Kα1 and Kα2)), based on a crystal structure in the Materials Project, relaxed with GGA+U.
Neutral-atom scattering factors, no anomalous dispersion.

Peak list (10 most intense, 10° ≤ 2θ ≤ 90°, most intense first)
| 2theta | Rel. int. | index |
| --- | --- | --- |
| 27.33 | 100 | 0 2 0 |
| 35.55 | 94 | 3 1 1 |
| 27.84 | 88 | 2 0 -2 |
| 53.82 | 58 | 3 3 1 |
| 54.40 | 48 | 1 1 -5 |
| 68.97 | 37 | 1 3 -5 |
| 39.41 | 17 | 2 2 -2 |
| 41.00 | 16 | 4 0 0 |
| 56.39 | 15 | 0 4 0 |
| 61.20 | 15 | 4 0 4 |

Crystal structure
Cell lengths 8.813, 6.526, 8.826 Å; angles 90.00, 93.23, 90.00 degrees
Space group C2/m (No. 12)
Inequivalent atoms, fractional coordinates:
Mn (0.000, 0.000, 0.000) [2 per cell]
Mn (0.000, 0.500, 0.500) [2 per cell]
Mn (0.107, 0.000, 0.632) [4 per cell]
Mn (0.138, 0.500, 0.139) [4 per cell]
Mn (0.244, 0.500, 0.760) [4 per cell]
O (0.000, 0.193, 0.500) [4 per cell]
O (0.027, 0.500, 0.720) [4 per cell]
O (0.036, 0.000, 0.219) [4 per cell]
O (0.222, 0.000, 0.018) [4 per cell]
O (0.243, 0.189, 0.744) [8 per cell]
F (0.000, 0.320, 0.000) [4 per cell]
F (0.237, 0.500, 0.527) [4 per cell]



[2]
LiMn2O4: calculated powder X-ray diffraction pattern (Cu Kα (weighted mean of Kα1 and Kα2)), based on a crystal structure in the Materials Project, relaxed with GGA+U.
Neutral-atom scattering factors, no anomalous dispersion.

Peak list (10 most intense, 10° ≤ 2θ ≤ 90°, most intense first)
| 2theta | Rel. int. | index |
| --- | --- | --- |
| 22.10 | 100 | 2 0 2 |
| 30.14 | 58 | 2 0 -4 |
| 36.18 | 56 | 0 2 3 |
| 40.91 | 36 | 2 2 3 |
| 36.05 | 31 | 2 2 -1 |
| 48.79 | 30 | 2 2 5 |
| 21.20 | 30 | 2 0 -2 |
| 64.23 | 29 | 6 2 -1 |
| 52.41 | 25 | 4 2 3 |
| 57.63 | 24 | 2 2 -7 |

Crystal structure
Cell lengths 10.058, 5.827, 14.243 Å; angles 90.00, 92.52, 90.00 degrees
Space group Cc (No. 9)
Inequivalent atoms, fractional coordinates:
Li (0.000, 0.113, 0.000) [4 per cell]
Li (0.065, 0.369, 0.859) [4 per cell]
Li (0.495, 0.146, 0.991) [4 per cell]
Mn (0.032, 0.377, 0.677) [4 per cell]
Mn (0.046, 0.124, 0.190) [4 per cell]
Mn (0.256, 0.127, 0.522) [4 per cell]
Mn (0.256, 0.376, 0.023) [4 per cell]
Mn (0.307, 0.125, 0.837) [4 per cell]
Mn (0.308, 0.375, 0.336) [4 per cell]
O (0.098, 0.122, 0.597) [4 per cell]
O (0.099, 0.368, 0.101) [4 per cell]
O (0.172, 0.381, 0.448) [4 per cell]
O (0.175, 0.131, 0.944) [4 per cell]
O (0.215, 0.372, 0.775) [4 per cell]
O (0.221, 0.122, 0.274) [4 per cell]
O (0.347, 0.373, 0.584) [4 per cell]
O (0.351, 0.123, 0.082) [4 per cell]
O (0.386, 0.378, 0.921) [4 per cell]
O (0.390, 0.124, 0.420) [4 per cell]
O (0.467, 0.119, 0.761) [4 per cell]
O (0.470, 0.367, 0.257) [4 per cell]



[3]
Y5MgMo2O12: calculated powder X-ray diffraction pattern (Cu Kα (weighted mean of Kα1 and Kα2)), based on a crystal structure in the Materials Project, relaxed with GGA+U.
Neutral-atom scattering factors, no anomalous dispersion.

Peak list (10 most intense, 10° ≤ 2θ ≤ 90°, most intense first)
| 2theta | Rel. int. | index |
| --- | --- | --- |
| 32.65 | 100 | 0 2 -2 |
| 27.41 | 97 | 1 -2 0 |
| 25.98 | 93 | 1 1 0 |
| 27.08 | 91 | 1 0 -2 |
| 28.38 | 79 | 1 -1 2 |
| 32.44 | 72 | 0 1 2 |
| 45.39 | 68 | 0 3 0 |
| 32.30 | 61 | 2 0 0 |
| 47.99 | 55 | 0 1 -4 |
| 39.33 | 48 | 2 -1 2 |

Crystal structure
Cell lengths 6.090, 6.794, 7.592 Å; angles 104.65, 92.91, 112.57 degrees
Space group P1 (No. 1)
Inequivalent atoms, fractional coordinates:
Y (0.000, 0.000, 0.000) [1 per cell]
Y (0.004, 0.981, 0.435) [1 per cell]
Y (0.349, 0.641, 0.154) [1 per cell]
Y (0.603, 0.236, 0.308) [1 per cell]
Y (0.619, 0.252, 0.822) [1 per cell]
Mg (0.136, 0.303, 0.779) [1 per cell]
Mo (0.064, 0.644, 0.643) [1 per cell]
Mo (0.554, 0.643, 0.639) [1 per cell]
O (0.189, 0.010, 0.738) [1 per cell]
O (0.224, 0.938, 0.217) [1 per cell]
O (0.314, 0.649, 0.451) [1 per cell]
O (0.322, 0.629, 0.840) [1 per cell]
O (0.411, 0.294, 0.561) [1 per cell]
O (0.452, 0.330, 0.077) [1 per cell]
O (0.722, 0.967, 0.750) [1 per cell]
O (0.726, 0.952, 0.207) [1 per cell]
O (0.792, 0.629, 0.440) [1 per cell]
O (0.806, 0.626, 0.829) [1 per cell]
O (0.906, 0.282, 0.566) [1 per cell]
O (0.988, 0.338, 0.016) [1 per cell]



[4]
LiFe8O16: calculated powder X-ray diffraction pattern (Cu Kα (weighted mean of Kα1 and Kα2)), based on a crystal structure in the Materials Project, relaxed with GGA+U.
Neutral-atom scattering factors, no anomalous dispersion.

Peak list (10 most intense, 10° ≤ 2θ ≤ 90°, most intense first)
| 2theta | Rel. int. | index |
| --- | --- | --- |
| 12.29 | 100 | 1 0 -1 |
| 36.11 | 67 | 1 1 -2 |
| 17.34 | 41 | 0 0 2 |
| 17.49 | 40 | 2 0 0 |
| 27.79 | 29 | 3 0 -1 |
| 27.61 | 27 | 1 0 3 |
| 57.66 | 20 | 2 1 5 |
| 48.01 | 19 | 4 1 -1 |
| 57.93 | 19 | 5 1 -2 |
| 47.79 | 17 | 1 1 4 |

Crystal structure
Cell lengths 10.142, 2.969, 10.229 Å; angles 90.00, 90.07, 90.00 degrees
Space group Pm (No. 6)
Inequivalent atoms, fractional coordinates:
Li (0.000, 0.000, 0.000) [1 per cell]
Fe (0.104, 0.000, 0.464) [1 per cell]
Fe (0.125, 0.500, 0.778) [1 per cell]
Fe (0.288, 0.000, 0.983) [1 per cell]
Fe (0.304, 0.500, 0.299) [1 per cell]
Fe (0.606, 0.500, 0.967) [1 per cell]
Fe (0.621, 0.000, 0.281) [1 per cell]
Fe (0.787, 0.500, 0.481) [1 per cell]
Fe (0.804, 0.000, 0.795) [1 per cell]
O (0.107, 0.500, 0.339) [1 per cell]
O (0.116, 0.500, 0.588) [1 per cell]
O (0.144, 0.500, 0.980) [1 per cell]
O (0.248, 0.000, 0.788) [1 per cell]
O (0.290, 0.000, 0.176) [1 per cell]
O (0.301, 0.000, 0.421) [1 per cell]
O (0.410, 0.500, 0.970) [1 per cell]
O (0.497, 0.500, 0.293) [1 per cell]
O (0.614, 0.000, 0.843) [1 per cell]
O (0.621, 0.000, 0.090) [1 per cell]
O (0.663, 0.000, 0.476) [1 per cell]
O (0.746, 0.500, 0.286) [1 per cell]
O (0.792, 0.500, 0.673) [1 per cell]
O (0.814, 0.500, 0.926) [1 per cell]
O (0.910, 0.000, 0.467) [1 per cell]
O (0.999, 0.000, 0.798) [1 per cell]



[5]
Li3TiMn2O6: calculated powder X-ray diffraction pattern (Cu Kα (weighted mean of Kα1 and Kα2)), based on a crystal structure in the Materials Project, relaxed with GGA+U.
Neutral-atom scattering factors, no anomalous dispersion.

Peak list (10 most intense, 10° ≤ 2θ ≤ 90°, most intense first)
| 2theta | Rel. int. | index |
| --- | --- | --- |
| 17.97 | 100 | 2 0 -1 |
| 43.06 | 54 | 1 1 -2 |
| 40.30 | 32 | 6 0 0 |
| 35.22 | 26 | 1 1 1 |
| 33.49 | 17 | 4 0 1 |
| 60.25 | 16 | 5 1 2 |
| 60.62 | 16 | 7 1 -2 |
| 62.45 | 12 | 2 0 -4 |
| 36.35 | 12 | 4 0 -2 |
| 45.82 | 10 | 5 1 -1 |

Crystal structure
Cell lengths 13.732, 2.967, 5.948 Å; angles 90.00, 102.06, 90.00 degrees
Space group Cm (No. 8)
Inequivalent atoms, fractional coordinates:
Li (0.000, 0.000, 0.000) [2 per cell]
Li (0.160, 0.500, 0.325) [2 per cell]
Li (0.320, 0.000, 0.651) [2 per cell]
Ti (0.160, 0.500, 0.825) [2 per cell]
Mn (0.329, 0.000, 0.167) [2 per cell]
Mn (0.491, 0.500, 0.484) [2 per cell]
O (0.011, 0.500, 0.738) [2 per cell]
O (0.156, 0.000, 0.048) [2 per cell]
O (0.164, 0.000, 0.603) [2 per cell]
O (0.310, 0.500, 0.914) [2 per cell]
O (0.325, 0.500, 0.399) [2 per cell]
O (0.495, 0.000, 0.252) [2 per cell]



Question: Which formula does entry 5 have?
Answer: Li3TiMn2O6



Question: Number 5 is which compound?
Answer: Li3TiMn2O6